1.
NbS2: theoretical powder XRD pattern (Cu Kα, 1.54184 Å), based on a cell relaxed with GGA-PBE.

Structural model:
Cell: 3.3603 3.3603 39.3290 Å, 90.00 90.00 119.98°
Fractional positions:
Nb: 0.0928 0.9072 0.5000
Nb: 0.2417 0.7583 0.1704
Nb: 0.7583 0.2417 0.6704
Nb: 0.9072 0.0928 0.0000
S: 0.0915 0.9085 0.6306
S: 0.0917 0.9083 0.7102
S: 0.4259 0.5741 0.4602
S: 0.4266 0.5734 0.5398
S: 0.5734 0.4266 0.0398
S: 0.5741 0.4259 0.9602
S: 0.9085 0.0915 0.1306
S: 0.9083 0.0917 0.2102

Largest 10 diffraction maxima, in order of rising 2θ, 2θ from 10° to 80°:
2θ (°)	I_rel
13.5	100
30.8	16
31.5	26
35.9	19
37.1	30
38.5	20
43.1	14
44.8	17
46.6	17
54.7	24

---

2.
NbS2: theoretical powder XRD pattern (Cu Kα, 1.54184 Å), based on a cell relaxed with GGA-PBE.

Structural model:
Cell: 3.3803 3.3803 20.0210 Å, 90.00 90.00 120.00°
Fractional positions:
Nb: 0.0000 0.0000 0.0000
Nb: 0.3333 0.6667 0.6667
Nb: 0.6667 0.3333 0.3333
S: 0.0000 0.0000 0.2558
S: 0.0000 0.0000 0.7442
S: 0.3333 0.6667 0.4109
S: 0.3333 0.6667 0.9225
S: 0.6667 0.3333 0.0775
S: 0.6667 0.3333 0.5891

Largest 10 diffraction maxima, in order of rising 2θ, 2θ from 10° to 80°:
2θ (°)	I_rel
13.3	100
30.9	31
35.5	63
38.1	14
44.3	16
47.8	25
54.3	18
56.1	13
59.8	7
66.6	9

---

3.
NbS2: theoretical powder XRD pattern (Cu Kα, 1.54184 Å), based on a cell relaxed with GGA-PBE.

Structural model:
Cell: 3.3691 3.3714 25.3499 Å, 87.87 89.66 60.12°
Fractional positions:
Nb: 0.0000 0.0000 0.0000
Nb: 0.0431 0.6187 0.6665
Nb: 0.3751 0.4238 0.3332
S: 0.3475 0.0166 0.6050
S: 0.3664 0.3286 0.9385
S: 0.6944 0.3087 0.7281
S: 0.6974 0.7756 0.2721
S: 0.7143 0.7403 0.3943
S: 0.7196 0.6139 0.0617

Largest 10 diffraction maxima, in order of rising 2θ, 2θ from 10° to 80°:
2θ (°)	I_rel
10.5	100
21.0	3
30.9	4
31.1	3
34.8	7
37.7	3
40.4	3
41.2	4
54.3	3
54.6	4

---

4.
NbS2: theoretical powder XRD pattern (Cu Kα, 1.54184 Å), based on a cell relaxed with GGA-PBE.

Structural model:
Cell: 3.3622 3.3622 19.6019 Å, 90.00 90.00 120.00°
Fractional positions:
Nb: 0.0000 0.0000 0.0000
Nb: 0.3333 0.6667 0.6667
Nb: 0.6667 0.3333 0.3333
S: 0.0000 0.0000 0.5866
S: 0.0000 0.0000 0.7466
S: 0.3333 0.6667 0.2533
S: 0.3333 0.6667 0.4132
S: 0.6667 0.3333 0.0799
S: 0.6667 0.3333 0.9199

Largest 10 diffraction maxima, in order of rising 2θ, 2θ from 10° to 80°:
2θ (°)	I_rel
13.6	100
31.1	28
32.1	26
35.9	34
38.5	37
44.9	26
48.6	16
54.6	19
56.5	19
68.8	6

---

5.
Nb3S4: theoretical powder XRD pattern (Cu Kα, 1.54184 Å), based on a cell relaxed with GGA-PBE.

Structural model:
Cell: 9.6678 9.6678 3.4085 Å, 90.00 90.00 120.00°
Fractional positions:
Nb: 0.1149 0.6288 0.2500
Nb: 0.3712 0.4861 0.2500
Nb: 0.4861 0.1149 0.7500
Nb: 0.5139 0.8851 0.2500
Nb: 0.6288 0.5139 0.7500
Nb: 0.8851 0.3712 0.7500
S: 0.0570 0.3463 0.2500
S: 0.2893 0.9430 0.2500
S: 0.3333 0.6667 0.7500
S: 0.3463 0.2893 0.7500
S: 0.6537 0.7107 0.2500
S: 0.6667 0.3333 0.2500
S: 0.7107 0.0570 0.7500
S: 0.9430 0.6537 0.7500

Largest 10 diffraction maxima, in order of rising 2θ, 2θ from 10° to 80°:
2θ (°)	I_rel
10.6	100
21.2	9
28.2	45
38.8	90
46.0	25
49.9	15
53.8	8
54.8	10
65.0	9
68.3	9

---

6.
NbS3: theoretical powder XRD pattern (Cu Kα, 1.54184 Å), based on a cell relaxed with GGA-PBE.

Structural model:
Cell: 9.8188 3.3808 14.9952 Å, 90.00 108.53 90.00°
Fractional positions:
Nb: 0.0270 0.2500 0.3834
Nb: 0.3403 0.2500 0.0400
Nb: 0.3877 0.2500 0.7061
Nb: 0.6123 0.7500 0.2939
Nb: 0.6597 0.7500 0.9600
Nb: 0.9730 0.7500 0.6166
S: 0.0729 0.7500 0.2694
S: 0.1248 0.2500 0.5661
S: 0.1656 0.7500 0.0682
S: 0.1742 0.7500 0.9314
S: 0.2230 0.7500 0.7480
S: 0.2298 0.7500 0.4041
S: 0.4092 0.7500 0.5895
S: 0.4118 0.2500 0.2222
S: 0.4596 0.2500 0.9056
S: 0.5404 0.7500 0.0944
S: 0.5882 0.7500 0.7778
S: 0.5908 0.2500 0.4105
S: 0.7702 0.2500 0.5959
S: 0.7770 0.2500 0.2520
S: 0.8258 0.2500 0.0686
S: 0.8344 0.2500 0.9318
S: 0.8752 0.7500 0.4339
S: 0.9271 0.2500 0.7306

Largest 10 diffraction maxima, in order of rising 2θ, 2θ from 10° to 80°:
2θ (°)	I_rel
18.7	84
19.2	70
21.9	52
32.1	50
32.8	100
34.7	46
39.4	42
41.3	53
45.7	41
46.8	43

---

7.
NbS3: theoretical powder XRD pattern (Cu Kα, 1.54184 Å), based on a cell relaxed with GGA-PBE.

Structural model:
Cell: 5.0363 6.8147 9.6075 Å, 89.96 83.17 89.99°
Fractional positions:
Nb: 0.2156 0.4020 0.1495
Nb: 0.2181 0.8507 0.1409
Nb: 0.7819 0.1493 0.8591
Nb: 0.7844 0.5980 0.8505
S: 0.0193 0.8774 0.6990
S: 0.0281 0.3683 0.6741
S: 0.2593 0.1339 0.9585
S: 0.2640 0.6147 0.9398
S: 0.3716 0.6312 0.3296
S: 0.3809 0.1229 0.3018
S: 0.6191 0.8771 0.6982
S: 0.6284 0.3688 0.6704
S: 0.7360 0.3853 0.0602
S: 0.7407 0.8661 0.0415
S: 0.9719 0.6317 0.3259
S: 0.9807 0.1226 0.3010

Largest 10 diffraction maxima, in order of rising 2θ, 2θ from 10° to 80°:
2θ (°)	I_rel
19.0	45
21.0	48
24.2	22
32.3	100
38.7	17
41.4	23
44.4	27
47.0	20
47.2	17
49.0	18

---

8.
NbSeS: theoretical powder XRD pattern (Cu Kα, 1.54184 Å), based on a cell relaxed with GGA-PBE.

Structural model:
Cell: 3.4306 3.4306 13.4548 Å, 90.00 90.00 120.00°
Fractional positions:
Nb: 0.0000 0.0000 0.2395
Nb: 0.0000 0.0000 0.7605
Se: 0.3333 0.6667 0.3685
Se: 0.6667 0.3333 0.6315
S: 0.3333 0.6667 0.1280
S: 0.6667 0.3333 0.8720

Largest 10 diffraction maxima, in order of rising 2θ, 2θ from 10° to 80°:
2θ (°)	I_rel
13.2	100
30.8	41
33.0	60
36.3	24
40.5	74
45.5	16
51.0	20
53.4	32
69.1	15
79.9	16

---

Copy entry 4 word for word.
NbS2: theoretical powder XRD pattern (Cu Kα, 1.54184 Å), based on a cell relaxed with GGA-PBE.

Structural model:
Cell: 3.3622 3.3622 19.6019 Å, 90.00 90.00 120.00°
Fractional positions:
Nb: 0.0000 0.0000 0.0000
Nb: 0.3333 0.6667 0.6667
Nb: 0.6667 0.3333 0.3333
S: 0.0000 0.0000 0.5866
S: 0.0000 0.0000 0.7466
S: 0.3333 0.6667 0.2533
S: 0.3333 0.6667 0.4132
S: 0.6667 0.3333 0.0799
S: 0.6667 0.3333 0.9199

Largest 10 diffraction maxima, in order of rising 2θ, 2θ from 10° to 80°:
2θ (°)	I_rel
13.6	100
31.1	28
32.1	26
35.9	34
38.5	37
44.9	26
48.6	16
54.6	19
56.5	19
68.8	6